(1)
Diffraction record for La3Os4. The powder diffraction line list is simulated, not measured: it uses a cell relaxed with PBE and Cu Ka.

Top 8 peaks for 2θ from 5° to 70°, most intense first:
d_spacing	I (rel.)
3.225	1000
2.394	886
2.147	860
2.650	814
2.793	664
1.563	639
1.612	486
1.729	230

Structure:
```
La3Os4
1.0
6.4495 0.0000 0.0000
-3.2247 5.5854 0.0000
0.0000 0.0000 4.6519
La Os
3 4
Direct
0.0000 0.5000 0.0000 La
0.5000 0.0000 0.0000 La
0.5000 0.5000 0.0000 La
0.0000 0.0000 0.2469 Os
0.0000 0.0000 0.7531 Os
0.3333 0.6667 0.5000 Os
0.6667 0.3333 0.5000 Os
```

(2)
Diffraction record for Pr4Al. The powder diffraction line list is simulated, not measured: it uses a cell relaxed with PBE and Cu Ka.

Top 8 peaks for 2θ from 5° to 70°, most intense first:
d_spacing	I (rel.)
3.051	1000
2.920	531
3.326	461
2.481	313
3.725	298
2.570	259
1.867	247
1.832	217

Structure:
```
Pr4Al
1.0
-4.7038 4.7038 4.0075
4.7038 -4.7038 4.0075
4.7038 4.7038 -4.0075
Pr Al
8 2
Direct
0.2143 0.2765 0.5622 Pr
0.2143 0.6520 0.9378 Pr
0.2765 0.2143 0.0622 Pr
0.3480 0.7857 0.5622 Pr
0.6520 0.2143 0.4378 Pr
0.7235 0.7857 0.9378 Pr
0.7857 0.3480 0.0622 Pr
0.7857 0.7235 0.4378 Pr
0.1250 0.8750 0.2500 Al
0.8750 0.1250 0.7500 Al
```

(3)
Diffraction record for RbCrSi2Se8. The powder diffraction line list is simulated, not measured: it uses a cell relaxed with PBE and Cu Ka.

Top 8 peaks for 2θ from 5° to 70°, most intense first:
d_spacing	I (rel.)
3.001	1000
2.612	781
1.834	384
3.060	309
1.860	305
1.573	234
9.180	210
1.565	131

Structure:
```
RbCrSi2Se8
1.0
6.3520 0.0000 0.0000
-3.1760 5.5010 0.0000
0.0000 0.0000 9.1795
Rb Cr Si Se
1 1 2 8
Direct
0.0000 0.0000 0.0000 Rb
0.0000 0.0000 0.5000 Cr
0.3333 0.6667 0.7163 Si
0.6667 0.3333 0.2837 Si
0.0220 0.6744 0.3611 Se
0.3256 0.3476 0.3611 Se
0.3333 0.6667 0.9608 Se
0.3476 0.0220 0.6389 Se
0.6524 0.9780 0.3611 Se
0.6667 0.3333 0.0392 Se
0.6744 0.6524 0.6389 Se
0.9780 0.3256 0.6389 Se
```